For Bi16O25, a DFT-relaxed cell (PBE, the Materials Project) gives the theoretical powder diffraction line list in this record (Cu Kα (weighted mean of Kα1 and Kα2)).
Kinematic intensities with the Lorentz-polarization factor, no thermal factor.

Unit cell a=9.6717 b=9.6717 c=9.6717 alpha=109.73 beta=109.73 gamma=108.95
Element x y z (fractional)
Bi (0.0031, 0.5030, 0.2399)
Bi (0.0051, 0.7534, 0.0000)
Bi (0.2368, 0.9969, 0.4998)
Bi (0.2466, 0.2466, 0.2517)
Bi (0.2558, 0.5169, 0.0000)
Bi (0.2630, 0.7632, 0.7601)
Bi (0.4831, 0.4831, 0.7389)
Bi (0.4970, 0.7370, 0.5002)
Bi (0.5030, 0.0031, 0.2399)
Bi (0.5169, 0.2558, 0.0000)
Bi (0.7370, 0.4970, 0.5002)
Bi (0.7442, 0.7442, 0.2611)
Bi (0.7534, 0.0051, 0.0000)
Bi (0.7632, 0.2630, 0.7601)
Bi (0.9949, 0.9949, 0.7483)
Bi (0.9969, 0.2368, 0.4998)
O (0.0000, 0.2980, 0.2980)
O (0.0000, 0.7020, 0.7020)
O (0.0338, 0.5449, 0.0000)
O (0.0478, 0.2538, 0.7996)
O (0.2038, 0.2038, 0.4948)
O (0.2080, 0.5000, 0.7080)
O (0.2482, 0.4542, 0.2004)
O (0.2538, 0.0478, 0.7996)
O (0.2911, 0.7962, 0.0000)
O (0.2980, 0.0000, 0.2980)
O (0.4542, 0.2482, 0.2004)
O (0.4551, 0.4551, 0.4888)
O (0.5000, 0.2080, 0.7080)
O (0.5000, 0.5000, 0.0000)
O (0.5000, 0.7920, 0.2920)
O (0.5449, 0.0338, 0.0000)
O (0.5458, 0.7462, 0.7940)
O (0.7020, 0.0000, 0.7020)
O (0.7089, 0.7089, 0.5052)
O (0.7462, 0.5458, 0.7940)
O (0.7518, 0.9522, 0.2060)
O (0.7920, 0.5000, 0.2920)
O (0.7962, 0.2911, 0.0000)
O (0.9522, 0.7518, 0.2060)
O (0.9662, 0.9662, 0.5112)

Main lines, in order of falling intensity (2θ from 10° to 80°):
2θ = 27.7°, intensity 100; 2θ = 54.6°, intensity 31; 2θ = 45.9°, intensity 29; 2θ = 32.2°, intensity 28; 2θ = 54.2°, intensity 15; 2θ = 46.1°, intensity 15; 2θ = 31.8°, intensity 13; 2θ = 57.1°, intensity 12; 2θ = 73.9°, intensity 12; 2θ = 74.2°, intensity 6; 2θ = 76.5°, intensity 6; 2θ = 76.4°, intensity 5

=====

For TbCu2Ge2, a DFT-relaxed cell (PBE, the Materials Project) gives the theoretical powder diffraction line list in this record (Cu Kα (weighted mean of Kα1 and Kα2)).
Kinematic intensities with the Lorentz-polarization factor, no thermal factor.

Unit cell a=5.9164 b=5.9164 c=5.9164 alpha=139.87 beta=139.87 gamma=58.05
Element x y z (fractional)
Tb (0.0000, 0.0000, 0.0000)
Cu (0.2500, 0.7500, 0.5000)
Cu (0.7500, 0.2500, 0.5000)
Ge (0.3806, 0.3806, 0.0000)
Ge (0.6194, 0.6194, 0.0000)

Main lines, in order of falling intensity (2θ from 10° to 80°):
2θ = 35.8°, intensity 100; 2θ = 34.1°, intensity 77; 2θ = 44.6°, intensity 56; 2θ = 57.4°, intensity 34; 2θ = 49.4°, intensity 33; 2θ = 68.8°, intensity 25; 2θ = 31.2°, intensity 22; 2θ = 76.5°, intensity 20; 2θ = 65.0°, intensity 18; 2θ = 62.9°, intensity 14; 2θ = 47.3°, intensity 8; 2θ = 75.5°, intensity 8

=====

For CrGaN2, a DFT-relaxed cell (PBE, the Materials Project) gives the theoretical powder diffraction line list in this record (Cu Kα (weighted mean of Kα1 and Kα2)).
Kinematic intensities with the Lorentz-polarization factor, no thermal factor.

Unit cell a=5.5272 b=6.5825 c=5.1683 alpha=90.00 beta=90.00 gamma=90.00
Element x y z (fractional)
Cr (0.0745, 0.1261, 0.0000)
Cr (0.4255, 0.6261, 0.5000)
Cr (0.5745, 0.3739, 0.0000)
Cr (0.9255, 0.8739, 0.5000)
Ga (0.0830, 0.6243, 0.0039)
Ga (0.4170, 0.1243, 0.5039)
Ga (0.5830, 0.8757, 0.0039)
Ga (0.9170, 0.3757, 0.5039)
N (0.0809, 0.1278, 0.3807)
N (0.0847, 0.6218, 0.3877)
N (0.4153, 0.1218, 0.8877)
N (0.4191, 0.6278, 0.8807)
N (0.5809, 0.3722, 0.3807)
N (0.5847, 0.8782, 0.3877)
N (0.9153, 0.3782, 0.8877)
N (0.9191, 0.8722, 0.8807)

Main lines, in order of falling intensity (2θ from 10° to 80°):
2θ = 36.2°, intensity 100; 2θ = 34.7°, intensity 54; 2θ = 31.6°, intensity 44; 2θ = 36.9°, intensity 43; 2θ = 68.8°, intensity 38; 2θ = 63.2°, intensity 30; 2θ = 57.3°, intensity 29; 2θ = 32.4°, intensity 26; 2θ = 47.7°, intensity 19; 2θ = 55.9°, intensity 16; 2θ = 63.6°, intensity 13; 2θ = 67.5°, intensity 13

=====

For CeNb3O9, a DFT-relaxed cell (PBE, the Materials Project) gives the theoretical powder diffraction line list in this record (Cu Kα (weighted mean of Kα1 and Kα2)).
Kinematic intensities with the Lorentz-polarization factor, no thermal factor.

Unit cell a=5.6010 b=9.7626 c=13.7463 alpha=90.34 beta=90.17 gamma=90.17
Element x y z (fractional)
Ce (0.2367, 0.4216, 0.4218)
Ce (0.2407, 0.0833, 0.0818)
Ce (0.7593, 0.9167, 0.9182)
Ce (0.7633, 0.5784, 0.5782)
Nb (0.2487, 0.0835, 0.8251)
Nb (0.2493, 0.4121, 0.6745)
Nb (0.2490, 0.7356, 0.0017)
Nb (0.2503, 0.0881, 0.3340)
Nb (0.2513, 0.7655, 0.4954)
Nb (0.2538, 0.4193, 0.1663)
Nb (0.7462, 0.5807, 0.8337)
Nb (0.7487, 0.2345, 0.5046)
Nb (0.7497, 0.9119, 0.6660)
Nb (0.7510, 0.2644, 0.9983)
Nb (0.7507, 0.5879, 0.3255)
Nb (0.7513, 0.9165, 0.1749)
O (0.9999, 0.3205, 0.5903)
O (0.0001, 0.6795, 0.4097)
O (0.0016, 0.8398, 0.0792)
O (0.0032, 0.3462, 0.0743)
O (0.0041, 0.1751, 0.4167)
O (0.0041, 0.9828, 0.2555)
O (0.0062, 0.4943, 0.2557)
O (0.1759, 0.5659, 0.5660)
O (0.1814, 0.9166, 0.9157)
O (0.2081, 0.2380, 0.2387)
O (0.2998, 0.2577, 0.7573)
O (0.3018, 0.5884, 0.0918)
O (0.3015, 0.9238, 0.4203)
O (0.4871, 0.0160, 0.2328)
O (0.4867, 0.2068, 0.4058)
O (0.4866, 0.3043, 0.0889)
O (0.4868, 0.4696, 0.2731)
O (0.5003, 0.1228, 0.9395)
O (0.5004, 0.3697, 0.5654)
O (0.4996, 0.6303, 0.4346)
O (0.4997, 0.8772, 0.0605)
O (0.5132, 0.5304, 0.7269)
O (0.5134, 0.6957, 0.9111)
O (0.5133, 0.7932, 0.5942)
O (0.5129, 0.9840, 0.7672)
O (0.6985, 0.0762, 0.5797)
O (0.6982, 0.4116, 0.9082)
O (0.7002, 0.7423, 0.2427)
O (0.7919, 0.7620, 0.7613)
O (0.8186, 0.0834, 0.0843)
O (0.8241, 0.4341, 0.4340)
O (0.9938, 0.5057, 0.7443)
O (0.9959, 0.0172, 0.7445)
O (0.9959, 0.8249, 0.5833)
O (0.9968, 0.6538, 0.9257)
O (0.9984, 0.1602, 0.9208)

Main lines, in order of falling intensity (2θ from 10° to 80°):
2θ = 31.8°, intensity 100; 2θ = 31.9°, intensity 98; 2θ = 11.1°, intensity 66; 2θ = 22.4°, intensity 30; 2θ = 45.7°, intensity 28; 2θ = 25.0°, intensity 28; 2θ = 56.8°, intensity 27; 2θ = 22.3°, intensity 24; 2θ = 45.9°, intensity 24; 2θ = 45.5°, intensity 23; 2θ = 22.5°, intensity 22; 2θ = 56.9°, intensity 21

=====

Please write out number 4 again, unchanged.
For CeNb3O9, a DFT-relaxed cell (PBE, the Materials Project) gives the theoretical powder diffraction line list in this record (Cu Kα (weighted mean of Kα1 and Kα2)).
Kinematic intensities with the Lorentz-polarization factor, no thermal factor.

Unit cell a=5.6010 b=9.7626 c=13.7463 alpha=90.34 beta=90.17 gamma=90.17
Element x y z (fractional)
Ce (0.2367, 0.4216, 0.4218)
Ce (0.2407, 0.0833, 0.0818)
Ce (0.7593, 0.9167, 0.9182)
Ce (0.7633, 0.5784, 0.5782)
Nb (0.2487, 0.0835, 0.8251)
Nb (0.2493, 0.4121, 0.6745)
Nb (0.2490, 0.7356, 0.0017)
Nb (0.2503, 0.0881, 0.3340)
Nb (0.2513, 0.7655, 0.4954)
Nb (0.2538, 0.4193, 0.1663)
Nb (0.7462, 0.5807, 0.8337)
Nb (0.7487, 0.2345, 0.5046)
Nb (0.7497, 0.9119, 0.6660)
Nb (0.7510, 0.2644, 0.9983)
Nb (0.7507, 0.5879, 0.3255)
Nb (0.7513, 0.9165, 0.1749)
O (0.9999, 0.3205, 0.5903)
O (0.0001, 0.6795, 0.4097)
O (0.0016, 0.8398, 0.0792)
O (0.0032, 0.3462, 0.0743)
O (0.0041, 0.1751, 0.4167)
O (0.0041, 0.9828, 0.2555)
O (0.0062, 0.4943, 0.2557)
O (0.1759, 0.5659, 0.5660)
O (0.1814, 0.9166, 0.9157)
O (0.2081, 0.2380, 0.2387)
O (0.2998, 0.2577, 0.7573)
O (0.3018, 0.5884, 0.0918)
O (0.3015, 0.9238, 0.4203)
O (0.4871, 0.0160, 0.2328)
O (0.4867, 0.2068, 0.4058)
O (0.4866, 0.3043, 0.0889)
O (0.4868, 0.4696, 0.2731)
O (0.5003, 0.1228, 0.9395)
O (0.5004, 0.3697, 0.5654)
O (0.4996, 0.6303, 0.4346)
O (0.4997, 0.8772, 0.0605)
O (0.5132, 0.5304, 0.7269)
O (0.5134, 0.6957, 0.9111)
O (0.5133, 0.7932, 0.5942)
O (0.5129, 0.9840, 0.7672)
O (0.6985, 0.0762, 0.5797)
O (0.6982, 0.4116, 0.9082)
O (0.7002, 0.7423, 0.2427)
O (0.7919, 0.7620, 0.7613)
O (0.8186, 0.0834, 0.0843)
O (0.8241, 0.4341, 0.4340)
O (0.9938, 0.5057, 0.7443)
O (0.9959, 0.0172, 0.7445)
O (0.9959, 0.8249, 0.5833)
O (0.9968, 0.6538, 0.9257)
O (0.9984, 0.1602, 0.9208)

Main lines, in order of falling intensity (2θ from 10° to 80°):
2θ = 31.8°, intensity 100; 2θ = 31.9°, intensity 98; 2θ = 11.1°, intensity 66; 2θ = 22.4°, intensity 30; 2θ = 45.7°, intensity 28; 2θ = 25.0°, intensity 28; 2θ = 56.8°, intensity 27; 2θ = 22.3°, intensity 24; 2θ = 45.9°, intensity 24; 2θ = 45.5°, intensity 23; 2θ = 22.5°, intensity 22; 2θ = 56.9°, intensity 21